Structure and computed powder diffraction line list of Cs3Bi2Cl9 (the PBE geometry in the Materials Project; CuKα).
Peak positions follow from Bragg's law for the DFT cell and can differ from measured ones.

Crystal structure
```
data_Cs3Bi2Cl9
_chemical_formula_sum 'Cs3 Bi2 Cl9'
_cell_length_a 7.9881
_cell_length_b 7.9881
_cell_length_c 9.7267
_cell_angle_alpha 90.00
_cell_angle_beta 90.00
_cell_angle_gamma 120.00
_space_group_name_H-M_alt 'P 3 2 1'
_space_group_IT_number 150
_space_group_name_Hall 'P 3 2"'
loop_
_atom_site_label
_atom_site_type_symbol
_atom_site_fract_x
_atom_site_fract_y
_atom_site_fract_z
Cs1 Cs 0.0000 0.0000 0.0000
Cs2 Cs 0.3333 0.6667 0.3276
Bi1 Bi 0.3333 0.6667 0.8246
Cl1 Cl 0.0000 0.4680 0.0000
Cl2 Cl 0.1503 0.7960 0.6769
```

Top 10 peaks for 15 to 90 degrees two-theta, sorted by position:
15.72°, rel. 17, hkl 1 0 1; 22.30°, rel. 100, hkl 1 0 2; 31.75°, rel. 53, hkl 0 2 2; 39.10°, rel. 39, hkl 3 0 0; 39.27°, rel. 13, hkl 0 1 4; 45.42°, rel. 18, hkl 2 2 0; 45.60°, rel. 20, hkl 2 0 4; 51.18°, rel. 12, hkl 1 3 2; 51.31°, rel. 14, hkl 1 2 4; 61.44°, rel. 15, hkl 3 2 2



Structure and computed powder diffraction line list of CaSn2O4 (the PBE geometry in the Materials Project; CuKα).
Peak positions follow from Bragg's law for the DFT cell and can differ from measured ones.

Crystal structure
```
data_CaSn2O4
_chemical_formula_sum 'Ca4 Sn8 O16'
_cell_length_a 6.3557
_cell_length_b 7.5648
_cell_length_c 9.2818
_cell_angle_alpha 90.00
_cell_angle_beta 90.00
_cell_angle_gamma 90.00
_space_group_name_H-M_alt 'I m m a'
_space_group_IT_number 74
_space_group_name_Hall '-I 2b 2'
loop_
_atom_site_label
_atom_site_type_symbol
_atom_site_fract_x
_atom_site_fract_y
_atom_site_fract_z
Ca1 Ca 0.0000 0.0000 0.0000
Sn1 Sn 0.0000 0.2500 0.3735
Sn2 Sn 0.2500 0.2500 0.7500
O1 O 0.0000 0.0659 0.7519
O2 O 0.2420 0.2500 0.9800
```

Top 10 peaks for 15 to 90 degrees two-theta, sorted by position:
15.11°, rel. 23, hkl 0 1 1; 23.52°, rel. 61, hkl 0 2 0; 26.54°, rel. 61, hkl 1 1 2; 29.11°, rel. 52, hkl 1 2 1; 31.23°, rel. 57, hkl 0 1 3; 32.03°, rel. 100, hkl 2 1 1; 32.18°, rel. 22, hkl 1 0 3; 47.03°, rel. 51, hkl 2 3 1; 50.63°, rel. 21, hkl 0 1 5; 54.66°, rel. 61, hkl 2 2 4



Structure and computed powder diffraction line list of LiHg3 (the PBE geometry in the Materials Project; CuKα).
Peak positions follow from Bragg's law for the DFT cell and can differ from measured ones.

Crystal structure
```
data_LiHg3
_chemical_formula_sum 'Li2 Hg6'
_cell_length_a 6.3891
_cell_length_b 6.3891
_cell_length_c 5.2511
_cell_angle_alpha 90.00
_cell_angle_beta 90.00
_cell_angle_gamma 120.00
_space_group_name_H-M_alt 'P 63/m m c'
_space_group_IT_number 194
_space_group_name_Hall '-P 6c 2c'
loop_
_atom_site_label
_atom_site_type_symbol
_atom_site_fract_x
_atom_site_fract_y
_atom_site_fract_z
Li1 Li 0.3333 0.6667 0.2500
Hg1 Hg 0.1696 0.3392 0.7500
```

Top 10 peaks for 15 to 90 degrees two-theta, sorted by position:
23.35°, rel. 35, hkl 1 0 1; 27.93°, rel. 14, hkl 1 1 0; 32.36°, rel. 23, hkl 2 0 0; 34.15°, rel. 27, hkl 0 0 2; 36.72°, rel. 100, hkl 2 0 1; 47.76°, rel. 16, hkl 2 0 2; 57.72°, rel. 18, hkl 2 2 0; 62.82°, rel. 21, hkl 2 0 3; 68.80°, rel. 22, hkl 2 2 2; 70.39°, rel. 15, hkl 4 0 1



Structure and computed powder diffraction line list of MgSi2 (the PBE geometry in the Materials Project; CuKα).
Peak positions follow from Bragg's law for the DFT cell and can differ from measured ones.

Crystal structure
```
data_MgSi2
_chemical_formula_sum 'Mg4 Si8'
_cell_length_a 3.7742
_cell_length_b 5.5664
_cell_length_c 11.7254
_cell_angle_alpha 103.05
_cell_angle_beta 91.21
_cell_angle_gamma 108.75
_space_group_name_H-M_alt 'P 1'
_space_group_IT_number 1
_space_group_name_Hall 'P 1'
loop_
_atom_site_label
_atom_site_type_symbol
_atom_site_fract_x
_atom_site_fract_y
_atom_site_fract_z
Mg1 Mg 0.0000 0.0000 0.0000
Mg2 Mg 0.0052 0.1151 0.4488
Mg3 Mg 0.7893 0.4915 0.2676
Mg4 Mg 0.8237 0.4544 0.7884
Si1 Si 0.1074 0.0921 0.2186
Si2 Si 0.2530 0.6928 0.5303
Si3 Si 0.3337 0.9957 0.6595
Si4 Si 0.3387 0.6112 0.9466
Si5 Si 0.4431 0.8493 0.3136
Si6 Si 0.6170 0.4176 0.5344
Si7 Si 0.6750 0.3921 0.0525
Si8 Si 0.7501 0.9573 0.7880
```

Top 10 peaks for 15 to 90 degrees two-theta, sorted by position:
25.60°, rel. 35, hkl 0 1 -3; 30.77°, rel. 26, hkl -1 1 2; 31.49°, rel. 43, hkl 0 0 4; 32.75°, rel. 26, hkl 1 0 -3; 35.13°, rel. 25, hkl 0 2 0; 35.26°, rel. 64, hkl 1 1 0; 35.74°, rel. 100, hkl 1 -2 0; 42.71°, rel. 30, hkl 1 0 4; 43.88°, rel. 42, hkl 1 -2 4; 49.13°, rel. 32, hkl 2 -1 1



Structure and computed powder diffraction line list of K2GaP2H3O8F2 (the PBE geometry in the Materials Project; CuKα).
Peak positions follow from Bragg's law for the DFT cell and can differ from measured ones.

Crystal structure
```
data_K2GaP2H3O8F2
_chemical_formula_sum 'K4 Ga2 P4 H6 O16 F4'
_cell_length_a 4.7962
_cell_length_b 8.3933
_cell_length_c 11.0085
_cell_angle_alpha 90.00
_cell_angle_beta 93.56
_cell_angle_gamma 90.00
_space_group_name_H-M_alt 'P 1 21 1'
_space_group_IT_number 4
_space_group_name_Hall 'P 2yb'
loop_
_atom_site_label
_atom_site_type_symbol
_atom_site_fract_x
_atom_site_fract_y
_atom_site_fract_z
K1 K 0.0014 0.0000 0.0843
K2 K 0.0091 0.7002 0.5794
Ga1 Ga 0.0007 0.1053 0.7498
P1 P 0.4847 0.3691 0.1641
P2 P 0.4857 0.3440 0.6671
H1 H 0.4524 0.2619 0.9771
H2 H 0.4564 0.4422 0.4783
H3 H 0.4786 0.1178 0.2468
O1 O 0.2511 0.7928 0.2562
O2 O 0.2535 0.9150 0.7584
O3 O 0.2626 0.4975 0.1409
O4 O 0.2637 0.2138 0.6449
O5 O 0.3417 0.2204 0.2207
O6 O 0.3595 0.4956 0.7209
O7 O 0.4028 0.8889 0.4639
O8 O 0.4055 0.8137 0.9642
F1 F 0.1794 0.5095 0.3957
F2 F 0.1844 0.1924 0.8985
```

Top 10 peaks for 15 to 90 degrees two-theta, sorted by position:
16.13°, rel. 48, hkl 0 0 2; 22.45°, rel. 25, hkl 1 1 -1; 26.17°, rel. 49, hkl 1 1 -2; 26.55°, rel. 26, hkl 0 1 3; 27.59°, rel. 49, hkl 1 1 2; 28.28°, rel. 100, hkl 1 2 0; 31.67°, rel. 41, hkl 1 1 -3; 33.46°, rel. 33, hkl 1 1 3; 36.02°, rel. 24, hkl 0 3 2; 47.90°, rel. 22, hkl 2 1 3



Structure and computed powder diffraction line list of InAg (the PBE geometry in the Materials Project; CuKα).
Peak positions follow from Bragg's law for the DFT cell and can differ from measured ones.

Crystal structure
```
data_InAg
_chemical_formula_sum 'In1 Ag1'
_cell_length_a 3.5102
_cell_length_b 3.5102
_cell_length_c 3.5102
_cell_angle_alpha 90.00
_cell_angle_beta 90.00
_cell_angle_gamma 90.00
_space_group_name_H-M_alt 'P m -3 m'
_space_group_IT_number 221
_space_group_name_Hall '-P 4 2 3'
loop_
_atom_site_label
_atom_site_type_symbol
_atom_site_fract_x
_atom_site_fract_y
_atom_site_fract_z
In1 In 0.0000 0.0000 0.0000
Ag1 Ag 0.5000 0.5000 0.5000
```

Top 5 peaks for 15 to 90 degrees two-theta, sorted by position:
36.19°, rel. 100, hkl 1 1 0; 52.11°, rel. 17, hkl 2 0 0; 65.09°, rel. 34, hkl 2 1 1; 76.80°, rel. 10, hkl 2 2 0; 87.98°, rel. 15, hkl 3 1 0



Structure and computed powder diffraction line list of Nd5Pb3 (the PBE geometry in the Materials Project; CuKα).
Peak positions follow from Bragg's law for the DFT cell and can differ from measured ones.

Crystal structure
```
data_Nd5Pb3
_chemical_formula_sum 'Nd10 Pb6'
_cell_length_a 9.4252
_cell_length_b 9.4252
_cell_length_c 6.9132
_cell_angle_alpha 90.00
_cell_angle_beta 90.00
_cell_angle_gamma 120.00
_space_group_name_H-M_alt 'P 63/m c m'
_space_group_IT_number 193
_space_group_name_Hall '-P 6c 2'
loop_
_atom_site_label
_atom_site_type_symbol
_atom_site_fract_x
_atom_site_fract_y
_atom_site_fract_z
Nd1 Nd 0.0000 0.2407 0.2500
Nd2 Nd 0.3333 0.6667 0.0000
Pb1 Pb 0.0000 0.3929 0.7500
```

Top 10 peaks for 15 to 90 degrees two-theta, sorted by position:
25.77°, rel. 26, hkl 0 0 2; 28.94°, rel. 22, hkl 2 1 0; 31.76°, rel. 100, hkl 2 1 1; 32.11°, rel. 74, hkl 1 1 2; 32.92°, rel. 43, hkl 3 0 0; 42.00°, rel. 20, hkl 3 1 1; 46.65°, rel. 15, hkl 2 2 2; 49.36°, rel. 30, hkl 2 1 3; 55.82°, rel. 13, hkl 2 2 3; 62.97°, rel. 22, hkl 5 0 2



Structure and computed powder diffraction line list of U12Ge3Te20 (the PBE geometry in the Materials Project; CuKα).
Peak positions follow from Bragg's law for the DFT cell and can differ from measured ones.

Crystal structure
```
data_U12Ge3Te20
_chemical_formula_sum 'U12 Ge3 Te20'
_cell_length_a 4.2568
_cell_length_b 26.2807
_cell_length_c 8.9300
_cell_angle_alpha 90.00
_cell_angle_beta 90.00
_cell_angle_gamma 90.00
_space_group_name_H-M_alt 'P m m 2'
_space_group_IT_number 25
_space_group_name_Hall 'P 2 -2'
loop_
_atom_site_label
_atom_site_type_symbol
_atom_site_fract_x
_atom_site_fract_y
_atom_site_fract_z
U1 U 0.0000 0.0000 0.0000
U2 U 0.0000 0.1667 0.9779
U3 U 0.0000 0.3324 0.9804
U4 U 0.0000 0.5000 0.9989
U5 U 0.5000 0.0852 0.4656
U6 U 0.5000 0.2500 0.4444
U7 U 0.5000 0.4173 0.4627
Ge1 Ge 0.0000 0.2497 0.7140
Ge2 Ge 0.5000 0.5000 0.7293
Te1 Te 0.0000 0.0000 0.3659
Te2 Te 0.0000 0.0710 0.7275
Te3 Te 0.0000 0.1660 0.3498
Te4 Te 0.0000 0.3342 0.3507
Te5 Te 0.0000 0.4241 0.7287
Te6 Te 0.0000 0.5000 0.3621
Te7 Te 0.5000 0.0837 0.0924
Te8 Te 0.5000 0.1740 0.7155
Te9 Te 0.5000 0.2497 0.0818
Te10 Te 0.5000 0.3259 0.7149
Te11 Te 0.5000 0.4156 0.0930
```

Top 10 peaks for 15 to 90 degrees two-theta, sorted by position:
22.61°, rel. 24, hkl 0 6 1; 23.15°, rel. 25, hkl 1 0 1; 29.26°, rel. 49, hkl 1 6 0; 30.02°, rel. 24, hkl 0 0 3; 30.96°, rel. 53, hkl 1 6 1; 35.63°, rel. 100, hkl 1 6 2; 36.50°, rel. 37, hkl 0 6 3; 36.85°, rel. 33, hkl 1 0 3; 41.22°, rel. 29, hkl 0 12 0; 42.47°, rel. 31, hkl 2 0 0